Entry 1:
# Er3Si3Os2
Computed X-ray diffraction stick pattern, Cu Kα (λ = 1.5418 Å). Input: a cell relaxed with GGA-PBE.

Structure:
abc: 7.956 13.912 5.649
angles: 90.00 90.00 90.00
Space group Pnma (No. 62)
Asymmetric unit:
Er1 0.055 0.114 0.119 [8 per cell]
Er2 0.199 0.250 0.629 [4 per cell]
Si1 0.146 0.750 0.595 [4 per cell]
Si2 0.190 0.040 0.640 [8 per cell]
Os1 0.094 0.589 0.392 [8 per cell]

Top 10 peaks for 5 to 70 degrees two-theta, low angle first:
two_theta, d/Å, Rel. int., hkl
25.61, 3.478, 19, 0 4 0
27.29, 3.268, 54, 1 3 1
34.28, 2.616, 100, 2 4 0
37.87, 2.376, 38, 2 4 1
38.04, 2.366, 35, 3 1 1
38.84, 2.319, 30, 0 6 0
39.02, 2.308, 72, 1 3 2
42.40, 2.132, 30, 3 3 1
48.53, 1.876, 20, 4 0 1
57.91, 1.593, 22, 1 7 2

***

Entry 2:
# ErSi7Os3
Computed X-ray diffraction stick pattern, Cu Kα (λ = 1.5418 Å). Input: a cell relaxed with GGA-PBE.

Structure:
abc: 7.6478 7.6478 19.9952
angles: 90.00 90.00 120.00
Space group R-3c (No. 167, hexagonal axes)
Asymmetric unit:
Er1 0.0000 0.0000 0.0000 [6 per cell]
Si1 0.0000 0.0000 0.2500 [6 per cell]
Si2 0.0083 0.2015 0.1379 [36 per cell]
Os1 0.0000 0.3284 0.2500 [18 per cell]

Top 10 peaks for 5 to 70 degrees two-theta, low angle first:
two_theta, d/Å, Rel. int., hkl
16.05, 5.521, 10, 0 1 2
26.75, 3.333, 10, 0 0 6
26.88, 3.317, 100, 1 1 3
35.74, 2.512, 41, 1 1 6
40.29, 2.238, 12, 2 1 4
40.88, 2.208, 43, 3 0 0
47.32, 1.921, 34, 1 1 9
49.57, 1.839, 47, 2 2 3
55.40, 1.658, 10, 2 2 6
66.16, 1.412, 19, 4 1 3

***

Entry 3:
# Er2SiOs2
Computed X-ray diffraction stick pattern, Cu Kα (λ = 1.5418 Å). Input: a cell relaxed with GGA-PBE.

Structure:
abc: 9.758 5.537 7.511
angles: 90.00 102.61 90.00
Space group C2/c (No. 15)
Asymmetric unit:
Er1 0.145 0.144 0.144 [8 per cell]
Si1 0.000 0.408 0.750 [4 per cell]
Os1 0.137 0.351 0.512 [8 per cell]

Top 10 peaks for 5 to 70 degrees two-theta, low angle first:
two_theta, d/Å, Rel. int., hkl
21.02, 4.226, 50, 1 1 -1
27.28, 3.270, 33, 2 0 -2
32.35, 2.767, 43, 1 1 2
33.97, 2.639, 38, 2 0 2
34.63, 2.590, 36, 0 2 1
36.95, 2.433, 57, 3 1 -2
37.79, 2.381, 58, 4 0 0
38.26, 2.353, 100, 2 2 -1
39.53, 2.280, 53, 1 1 -3
40.93, 2.205, 64, 2 2 1

***

Entry 4:
# ErVSi2Os
Computed X-ray diffraction stick pattern, Cu Kα (λ = 1.5418 Å). Input: a cell relaxed with GGA-PBE.

Structure:
abc: 3.969 3.969 10.492
angles: 90.00 90.00 90.00
Space group I-4m2 (No. 119)
Asymmetric unit:
Er1 0.000 0.000 0.000 [2 per cell]
V1 0.000 0.500 0.250 [2 per cell]
Si1 0.000 0.000 0.385 [4 per cell]
Os1 0.000 0.500 0.750 [2 per cell]

Top 10 peaks for 5 to 70 degrees two-theta, low angle first:
two_theta, d/Å, Rel. int., hkl
23.97, 3.712, 56, 1 0 1
34.18, 2.624, 61, 0 0 4
36.31, 2.474, 100, 1 1 2
45.72, 1.984, 33, 2 0 0
49.11, 1.855, 18, 1 0 5
52.28, 1.750, 15, 2 1 1
58.30, 1.583, 36, 2 0 4
62.59, 1.484, 18, 1 1 6
66.67, 1.403, 15, 2 2 0
69.35, 1.355, 12, 2 1 5

***

Entry 5:
# Er5SnOs2
Computed X-ray diffraction stick pattern, Cu Kα (λ = 1.5418 Å). Input: a cell relaxed with GGA-PBE.

Structure:
abc: 7.520 7.520 14.391
angles: 90.00 90.00 90.00
Space group I4/mcm (No. 140)
Asymmetric unit:
Er1 0.000 0.000 0.000 [4 per cell]
Er2 0.174 0.326 0.132 [16 per cell]
Sn1 0.000 0.000 0.250 [4 per cell]
Os1 0.120 0.380 0.500 [8 per cell]

Top 10 peaks for 5 to 70 degrees two-theta, low angle first:
two_theta, d/Å, Rel. int., hkl
12.30, 7.195, 38, 0 0 2
32.52, 2.754, 100, 2 1 3
33.71, 2.659, 15, 2 2 0
34.50, 2.599, 50, 2 0 4
37.83, 2.378, 48, 3 1 0
41.29, 2.187, 36, 2 1 5
50.75, 1.799, 15, 0 0 8
58.01, 1.590, 14, 3 3 4
65.01, 1.435, 19, 3 1 8
68.80, 1.364, 23, 5 1 4

***

Entry 6:
# TbErOs
Computed X-ray diffraction stick pattern, Cu Kα (λ = 1.5418 Å). Input: a cell relaxed with GGA-PBE.

Structure:
abc: 6.754 3.354 7.050
angles: 90.00 104.06 90.00
Space group P2/m (No. 10)
Asymmetric unit:
Tb1 0.063 0.000 0.245 [2 per cell]
Er1 0.440 0.000 0.760 [2 per cell]
Os1 0.251 0.500 0.000 [2 per cell]

Top 10 peaks for 5 to 70 degrees two-theta, low angle first:
two_theta, d/Å, Rel. int., hkl
12.95, 6.838, 79, 0 0 1
29.67, 3.011, 16, 0 1 1
32.95, 2.718, 33, 2 0 -2
33.07, 2.709, 34, 2 0 1
37.57, 2.394, 77, 0 1 2
38.39, 2.345, 100, 2 1 -1
42.45, 2.129, 21, 2 0 -3
42.61, 2.122, 20, 2 0 2
65.42, 1.427, 19, 2 2 1
67.84, 1.382, 14, 4 1 -3

***

Entry 7:
# Tb3ErOs
Computed X-ray diffraction stick pattern, Cu Kα (λ = 1.5418 Å). Input: a cell relaxed with GGA-PBE.

Structure:
abc: 7.706 6.437 6.235
angles: 90.00 90.00 90.00
Space group Pmn2_1 (No. 31)
Asymmetric unit:
Tb1 0.000 0.158 0.000 [2 per cell]
Tb2 0.250 0.318 0.502 [4 per cell]
Er1 0.000 0.840 0.506 [2 per cell]
Os1 0.000 0.502 0.253 [2 per cell]

Top 10 peaks for 5 to 70 degrees two-theta, low angle first:
two_theta, d/Å, Rel. int., hkl
18.30, 4.847, 18, 1 0 1
22.97, 3.872, 23, 1 1 1
28.63, 3.118, 19, 0 0 2
30.61, 2.921, 100, 2 1 1
31.27, 2.860, 43, 0 2 1
39.74, 2.268, 38, 2 1 2
40.27, 2.239, 21, 0 2 2
47.17, 1.927, 17, 4 0 0
48.56, 1.875, 29, 2 3 0
51.97, 1.760, 23, 2 1 3

***

Entry 8:
# Er2TlOs
Computed X-ray diffraction stick pattern, Cu Kα (λ = 1.5418 Å). Input: a cell relaxed with GGA-PBE.

Structure:
abc: 7.101 7.101 7.101
angles: 90.00 90.00 90.00
Space group Fm-3m (No. 225)
Asymmetric unit:
Er1 0.250 0.250 0.250 [8 per cell]
Tl1 0.000 0.000 0.000 [4 per cell]
Os1 0.000 0.000 0.500 [4 per cell]

Top 4 peaks for 5 to 70 degrees two-theta, low angle first:
two_theta, d/Å, Rel. int., hkl
25.08, 3.551, 1, 2 0 0
35.76, 2.511, 100, 2 2 0
51.47, 1.775, 18, 4 0 0
64.26, 1.450, 37, 4 2 2

***

Entry 9:
# Er6TmOs2
Computed X-ray diffraction stick pattern, Cu Kα (λ = 1.5418 Å). Input: a cell relaxed with GGA-PBE.

Structure:
abc: 14.961 3.986 10.308
angles: 90.00 127.64 90.00
Space group C2/m (No. 12)
Asymmetric unit:
Er1 0.010 0.000 0.188 [4 per cell]
Er2 0.186 0.500 0.549 [4 per cell]
Er3 0.230 0.500 0.115 [4 per cell]
Tm1 0.000 0.000 0.500 [2 per cell]
Os1 0.098 0.500 0.752 [4 per cell]

Top 10 peaks for 5 to 70 degrees two-theta, low angle first:
two_theta, d/Å, Rel. int., hkl
11.96, 7.403, 72, 2 0 -1
29.81, 2.997, 31, 3 1 -2
31.90, 2.805, 100, 3 1 0
32.92, 2.721, 33, 0 0 3
34.56, 2.595, 69, 3 1 -3
36.46, 2.464, 41, 6 0 -2
36.77, 2.444, 42, 2 0 -4
37.61, 2.392, 40, 5 1 -2
38.18, 2.357, 43, 3 1 1
45.52, 1.993, 42, 0 2 0

***

Entry 10:
# Er4TmOs2
Computed X-ray diffraction stick pattern, Cu Kα (λ = 1.5418 Å). Input: a cell relaxed with GGA-PBE.

Structure:
abc: 7.751 6.195 7.844
angles: 90.00 112.12 90.00
Space group P2_1/m (No. 11)
Asymmetric unit:
Er1 0.120 0.250 0.480 [2 per cell]
Er2 0.173 0.750 0.251 [2 per cell]
Er3 0.261 0.502 0.919 [4 per cell]
Tm1 0.472 0.250 0.341 [2 per cell]
Os1 0.086 0.250 0.123 [2 per cell]
Os2 0.475 0.250 0.753 [2 per cell]

Top 10 peaks for 5 to 70 degrees two-theta, low angle first:
two_theta, d/Å, Rel. int., hkl
28.82, 3.098, 65, 0 2 0
31.20, 2.867, 71, 2 1 -2
31.68, 2.824, 64, 2 0 1
32.04, 2.794, 77, 1 2 -1
34.33, 2.612, 68, 1 0 -3
34.76, 2.581, 100, 3 0 -1
37.13, 2.422, 88, 1 2 -2
37.29, 2.411, 65, 2 2 -1
38.38, 2.345, 89, 2 2 0
39.96, 2.256, 59, 0 1 3

***

Entry 11:
# ErTm3Os2
Computed X-ray diffraction stick pattern, Cu Kα (λ = 1.5418 Å). Input: a cell relaxed with GGA-PBE.

Structure:
abc: 6.669 13.406 6.913
angles: 90.00 90.00 90.00
Space group Ibam (No. 72)
Asymmetric unit:
Er1 0.000 0.000 0.000 [4 per cell]
Tm1 0.000 0.235 0.250 [8 per cell]
Tm2 0.000 0.500 0.250 [4 per cell]
Os1 0.218 0.365 0.000 [8 per cell]

Top 10 peaks for 5 to 70 degrees two-theta, low angle first:
two_theta, d/Å, Rel. int., hkl
22.79, 3.902, 100, 1 2 1
29.87, 2.991, 26, 1 1 2
35.48, 2.530, 59, 1 3 2
37.37, 2.406, 49, 0 4 2
37.47, 2.400, 50, 2 0 2
38.07, 2.364, 98, 2 4 0
39.90, 2.259, 25, 2 2 2
49.20, 1.852, 19, 3 1 2
52.98, 1.728, 22, 0 0 4
67.08, 1.395, 38, 2 4 4

***

Entry 12:
# YEr4Os2
Computed X-ray diffraction stick pattern, Cu Kα (λ = 1.5418 Å). Input: a cell relaxed with GGA-PBE.

Structure:
abc: 7.738 6.230 7.901
angles: 90.00 112.17 90.00
Space group P2_1/m (No. 11)
Asymmetric unit:
Y1 0.024 0.250 0.160 [2 per cell]
Er1 0.240 0.501 0.581 [4 per cell]
Er2 0.327 0.750 0.252 [2 per cell]
Er3 0.380 0.250 0.020 [2 per cell]
Os1 0.026 0.250 0.743 [2 per cell]
Os2 0.415 0.250 0.376 [2 per cell]

Top 10 peaks for 5 to 70 degrees two-theta, low angle first:
two_theta, d/Å, Rel. int., hkl
12.10, 7.317, 86, 0 0 1
31.68, 2.824, 69, 2 0 1
31.87, 2.808, 67, 1 2 -1
34.07, 2.632, 62, 1 0 -3
34.59, 2.593, 60, 1 1 2
36.34, 2.472, 61, 3 0 -2
36.89, 2.437, 100, 1 2 -2
37.15, 2.420, 96, 2 2 -1
38.29, 2.351, 82, 2 2 0
39.69, 2.271, 65, 0 1 3

***

Entry 13:
# ErPa3P4
Computed X-ray diffraction stick pattern, Cu Kα (λ = 1.5418 Å). Input: a cell relaxed with GGA-PBE.

Structure:
abc: 7.920 11.211 3.967
angles: 90.00 90.00 90.00
Space group Cmmm (No. 65)
Asymmetric unit:
Er1 0.000 0.000 0.000 [2 per cell]
Pa1 0.000 0.500 0.000 [2 per cell]
Pa2 0.250 0.250 0.500 [4 per cell]
P1 0.000 0.249 0.000 [4 per cell]
P2 0.249 0.000 0.500 [4 per cell]

Top 10 peaks for 5 to 70 degrees two-theta, low angle first:
two_theta, d/Å, Rel. int., hkl
13.69, 6.468, 2, 1 1 0
15.81, 5.605, 1, 0 2 0
26.36, 3.381, 1, 1 3 0
27.56, 3.236, 100, 2 2 0
31.93, 2.803, 95, 2 0 1
34.89, 2.572, 1, 1 3 1
45.79, 1.982, 70, 4 0 0
54.28, 1.690, 50, 4 2 1
56.91, 1.618, 25, 4 4 0
66.76, 1.401, 12, 4 0 2